Calculated powder X-ray diffraction pattern of CsInHgI4 for λ = 1.5418 Å (Cu Kα), from a DFT-relaxed cell (GGA-PBE, Alexandria).
No peak broadening, texture or thermal motion is included.

Cell and atoms:
abc: 9.457 8.595 9.697
angles: 90.00 105.68 90.00
Atoms (fractional coordinates):
Cs 0.235 0.250 0.409
Cs 0.765 0.750 0.591
In 0.304 0.750 0.712
In 0.696 0.250 0.288
Hg 0.184 0.250 0.928
Hg 0.816 0.750 0.072
I 0.120 0.750 0.434
I 0.133 0.750 0.901
I 0.485 0.008 0.744
I 0.485 0.492 0.744
I 0.515 0.508 0.256
I 0.515 0.992 0.256
I 0.867 0.250 0.099
I 0.880 0.250 0.566

Peak list (10 most intense, 2θ = 15–90°, low angle first)
hkl 0 2 0, 2θ = 20.7°, rel. 442; hkl 1 2 0, 2θ = 22.9°, rel. 799; hkl 2 0 -2, 2θ = 23.3°, rel. 784; hkl 1 0 2, 2θ = 23.6°, rel. 1000; hkl 2 1 -2, 2θ = 25.5°, rel. 316; hkl 0 2 2, 2θ = 28.2°, rel. 806; hkl 2 2 0, 2θ = 28.6°, rel. 729; hkl 1 0 -4, 2θ = 37.1°, rel. 697; hkl 2 2 2, 2θ = 37.5°, rel. 312; hkl 1 2 4, 2θ = 47.7°, rel. 331